Diffraction record for CdH9C3NCl3. The XRD peak list is simulated, not measured: it uses a cell relaxed with GGA-PBE and a wavelength of 1.5418 Å.
Lines closer than 0.1° are merged.

Top 10 peaks for 5° ≤ 2θ ≤ 70°, in order of rising 2θ:
d_spacing	2θ/deg	intensity	hkl
7.805	11.34	100	1 0 0
4.506	19.70	20	1 1 0
3.348	26.63	14	2 0 1
3.006	29.72	10	1 0 2
2.640	33.96	12	1 1 2
2.501	35.91	18	2 0 2
2.186	41.29	22	2 1 2
2.165	41.73	10	1 3 0
2.033	44.57	9	3 0 2
1.791	51.01	8	2 3 0

Cell and atoms:
```
data_CdH9C3NCl3
_space_group_name_H-M_alt 'P 63/m'
_space_group_IT_number 176
_space_group_name_Hall '-P 6c'
_cell_length_a 9.0121
_cell_length_b 9.0121
_cell_length_c 6.5142
_cell_angle_alpha 90.00
_cell_angle_beta 90.00
_cell_angle_gamma 120.00
loop_
_atom_site_label
_atom_site_type_symbol
_atom_site_fract_x
_atom_site_fract_y
_atom_site_fract_z
_atom_site_occupancy
Cd1 Cd 0.0000 0.0000 0.0000 1
H1 H 0.0929 0.5573 0.1161 1
H2 H 0.1410 0.4093 0.2500 1
C1 C 0.1575 0.5380 0.2500 1
N1 N 0.3333 0.6667 0.2500 1
Cl1 Cl 0.1048 0.2686 0.7500 1
```

Diffraction record for CdH8C4N2Cl2. The XRD peak list is simulated, not measured: it uses a cell relaxed with GGA-PBE and a wavelength of 1.5418 Å.
Lines closer than 0.1° are merged.

Top 10 peaks for 5° ≤ 2θ ≤ 70°, in order of rising 2θ:
d_spacing	2θ/deg	intensity	hkl
7.182	12.32	100	1 1 0
5.071	17.49	15	1 1 -1
4.687	18.93	17	0 2 1
3.316	26.88	32	1 3 1
3.182	28.04	34	2 2 1
2.772	32.30	13	2 0 -2
2.409	37.33	9	2 4 -1
2.390	37.64	15	2 4 1
2.278	39.55	15	3 3 -1
2.193	41.16	10	3 1 2

Cell and atoms:
```
data_CdH8C4N2Cl2
_space_group_name_H-M_alt 'C 1 2/c 1'
_space_group_IT_number 15
_space_group_name_Hall '-C 2yc'
_cell_length_a 8.7597
_cell_length_b 12.5499
_cell_length_c 7.0503
_cell_angle_alpha 90.00
_cell_angle_beta 91.09
_cell_angle_gamma 90.00
loop_
_atom_site_label
_atom_site_type_symbol
_atom_site_fract_x
_atom_site_fract_y
_atom_site_fract_z
_atom_site_occupancy
Cd1 Cd 0.0000 0.0685 0.2500 1
H1 H 0.0104 0.3110 0.0526 1
H2 H 0.1237 0.2289 0.7217 1
H3 H 0.1502 0.3751 0.7273 1
H4 H 0.1676 0.3791 0.3829 1
C1 C 0.1136 0.3049 0.4302 1
C2 C 0.1852 0.2985 0.6676 1
N1 N 0.1613 0.2113 0.3534 1
Cl1 Cl 0.1782 0.0642 0.9419 1
```

Diffraction record for CdH12C2N2Cl4. The XRD peak list is simulated, not measured: it uses a cell relaxed with GGA-PBE and a wavelength of 1.5418 Å.
Lines closer than 0.1° are merged.

Top 10 peaks for 5° ≤ 2θ ≤ 70°, in order of rising 2θ:
d_spacing	2θ/deg	intensity	hkl
9.731	9.09	100	1 0 0
5.024	17.66	52	1 1 -1
4.079	21.79	10	1 1 1
4.037	22.02	12	2 1 -1
3.702	24.04	11	0 2 0
3.655	24.35	13	1 0 -2
3.244	27.50	12	3 0 0
2.601	34.48	24	1 2 -2
2.463	36.48	11	3 1 1
2.441	36.82	9	4 1 -1

Cell and atoms:
```
data_CdH12C2N2Cl4
_space_group_name_H-M_alt 'P 1 21/c 1'
_space_group_IT_number 14
_space_group_name_Hall '-P 2ybc'
_cell_length_a 10.3429
_cell_length_b 7.4032
_cell_length_c 7.3110
_cell_angle_alpha 90.00
_cell_angle_beta 109.81
_cell_angle_gamma 90.00
loop_
_atom_site_label
_atom_site_type_symbol
_atom_site_fract_x
_atom_site_fract_y
_atom_site_fract_z
_atom_site_occupancy
Cd1 Cd 0.0000 0.0000 0.0000 1
H1 H 0.1577 0.0455 0.6177 1
H2 H 0.2153 0.5067 0.9327 1
H3 H 0.2296 0.6604 0.1067 1
H4 H 0.3742 0.1959 0.6613 1
H5 H 0.3875 0.0343 0.8495 1
H6 H 0.4503 0.5212 0.1557 1
C1 C 0.3713 0.0519 0.6944 1
N1 N 0.2343 0.5214 0.0810 1
Cl1 Cl 0.0391 0.2187 0.7386 1
Cl2 Cl 0.2645 0.5550 0.6481 1
```

Diffraction record for CdH12C2N2Cl4. The XRD peak list is simulated, not measured: it uses a cell relaxed with GGA-PBE and a wavelength of 1.5418 Å.
Lines closer than 0.1° are merged.

Top 10 peaks for 5° ≤ 2θ ≤ 70°, in order of rising 2θ:
d_spacing	2θ/deg	intensity	hkl
9.610	9.20	100	0 2 0
5.065	17.51	54	1 1 1
4.061	21.89	23	1 3 1
3.730	23.86	14	2 0 0
3.696	24.08	11	0 0 2
3.203	27.85	10	0 6 0
2.625	34.15	28	2 0 2
2.532	35.45	18	2 2 2
2.433	36.95	21	1 7 1
2.030	44.63	10	2 6 2

Cell and atoms:
```
data_CdH12C2N2Cl4
_space_group_name_H-M_alt 'C m c e'
_space_group_IT_number 64
_space_group_name_Hall '-C 2ac 2'
_cell_length_a 7.4595
_cell_length_b 19.2200
_cell_length_c 7.3915
_cell_angle_alpha 90.00
_cell_angle_beta 90.00
_cell_angle_gamma 90.00
loop_
_atom_site_label
_atom_site_type_symbol
_atom_site_fract_x
_atom_site_fract_y
_atom_site_fract_z
_atom_site_occupancy
Cd1 Cd 0.0000 0.0000 0.0000 1
H1 H 0.0000 0.1107 0.3365 1
H2 H 0.0000 0.1892 0.6858 1
H3 H 0.1111 0.0873 0.5297 1
H4 H 0.1202 0.2122 0.4836 1
C1 C 0.0000 0.1871 0.5376 1
N1 N 0.0000 0.1133 0.4787 1
Cl1 Cl 0.0000 0.1320 0.0570 1
Cl2 Cl 0.2500 0.0217 0.7500 1
```

Diffraction record for CdH6C10N6Cl2. The XRD peak list is simulated, not measured: it uses a cell relaxed with GGA-PBE and a wavelength of 1.5418 Å.
Lines closer than 0.1° are merged.

Top 10 peaks for 5° ≤ 2θ ≤ 70°, in order of rising 2θ:
d_spacing	2θ/deg	intensity	hkl
11.372	7.77	100	2 0 0
7.265	12.18	38	0 0 1
6.500	13.62	75	2 0 -1
5.686	15.58	26	4 0 0
4.230	21.00	41	4 0 1
3.605	24.70	31	1 1 0
3.255	27.40	42	1 1 -1
3.202	27.86	24	6 0 1
3.060	29.19	36	3 1 -1
2.585	34.71	28	1 1 -2

Cell and atoms:
```
data_CdH6C10N6Cl2
_space_group_name_H-M_alt 'C 1 2/m 1'
_space_group_IT_number 12
_space_group_name_Hall '-C 2y'
_cell_length_a 22.9224
_cell_length_b 3.6520
_cell_length_c 7.3217
_cell_angle_alpha 90.00
_cell_angle_beta 97.14
_cell_angle_gamma 90.00
loop_
_atom_site_label
_atom_site_type_symbol
_atom_site_fract_x
_atom_site_fract_y
_atom_site_fract_z
_atom_site_occupancy
Cd1 Cd 0.0000 0.0000 0.0000 1
H1 H 0.0428 0.0000 0.4333 1
H2 H 0.1351 0.0000 0.6622 1
H3 H 0.1445 0.0000 0.0016 1
C1 C 0.0864 0.0000 0.3890 1
C2 C 0.1375 0.0000 0.5146 1
C3 C 0.1423 0.0000 0.1493 1
C4 C 0.1930 0.0000 0.2778 1
C5 C 0.2496 0.0000 0.2134 1
N1 N 0.0892 0.0000 0.2073 1
N2 N 0.1910 0.0000 0.4607 1
N3 N 0.2059 0.5000 0.8480 1
Cl1 Cl 0.0428 0.5000 0.7946 1
```

Diffraction record for CdH6C8N6Cl2. The XRD peak list is simulated, not measured: it uses a cell relaxed with GGA-PBE and a wavelength of 1.5418 Å.
Lines closer than 0.1° are merged.

Top 10 peaks for 5° ≤ 2θ ≤ 70°, in order of rising 2θ:
d_spacing	2θ/deg	intensity	hkl
11.722	7.54	100	0 0 1
6.526	13.57	18	0 1 0
5.859	15.12	19	0 0 2
5.563	15.93	30	0 1 -1
4.496	19.75	17	0 1 2
3.444	25.87	19	0 1 3
3.288	27.12	9	1 1 0
3.058	29.20	30	1 -1 1
2.756	32.49	9	1 1 -2
2.510	35.77	13	1 2 0

Cell and atoms:
```
data_CdH6C8N6Cl2
_space_group_name_H-M_alt 'P -1'
_space_group_IT_number 2
_space_group_name_Hall '-P 1'
_cell_length_a 3.7037
_cell_length_b 6.5494
_cell_length_c 11.7793
_cell_angle_alpha 86.34
_cell_angle_beta 85.51
_cell_angle_gamma 86.61
loop_
_atom_site_label
_atom_site_type_symbol
_atom_site_fract_x
_atom_site_fract_y
_atom_site_fract_z
_atom_site_occupancy
Cd1 Cd 0.0000 0.0000 0.0000 1
H1 H 0.0936 0.5605 0.3106 1
H2 H 0.2019 0.4267 0.1118 1
H3 H 0.2948 0.0507 0.7092 1
C1 C 0.0147 0.4128 0.2869 1
C2 C 0.1507 0.7474 0.6483 1
C3 C 0.1782 0.9025 0.7251 1
C4 C 0.2653 0.7511 0.5314 1
N1 N 0.0399 0.8403 0.8284 1
N2 N 0.0751 0.3496 0.1808 1
N3 N 0.3622 0.7547 0.4345 1
Cl1 Cl 0.4893 0.2610 0.9220 1
```